# MgFe2Bi
Computed powder X-ray diffraction pattern, CuKα. Input: the PBE geometry in OQMD.
Kinematic intensities with the Lorentz-polarization factor, no thermal factor.

Largest 8 diffraction maxima, in order of falling intensity, 2θ from 10° to 80°:
d 2.221, 40.6 deg, rel. 1000; d 6.281, 14.1 deg, rel. 441; d 1.282, 73.9 deg, rel. 334; d 2.809, 31.9 deg, rel. 244; d 1.570, 58.8 deg, rel. 165; d 3.627, 24.5 deg, rel. 161; d 2.094, 43.2 deg, rel. 144; d 3.141, 28.4 deg, rel. 132

Structure:
a = 6.281 Å, b = 6.281 Å, c = 6.281 Å
α = 90.00°, β = 90.00°, γ = 90.00°
Positions (direct):
Mg (0.000, 0.000, 0.000)
Mg (0.000, 0.000, 0.500)
Mg (0.000, 0.500, 0.000)
Mg (0.500, 0.000, 0.000)
Fe (0.253, 0.253, 0.253)
Fe (0.253, 0.253, 0.747)
Fe (0.253, 0.747, 0.253)
Fe (0.253, 0.747, 0.747)
Fe (0.747, 0.253, 0.253)
Fe (0.747, 0.253, 0.747)
Fe (0.747, 0.747, 0.253)
Fe (0.747, 0.747, 0.747)
Bi (0.000, 0.500, 0.500)
Bi (0.500, 0.000, 0.500)
Bi (0.500, 0.500, 0.000)
Bi (0.500, 0.500, 0.500)